Entry 1:
For SrH16O10, a cell relaxed with PBE gives the simulated X-ray powder pattern in this record (λ = 1.5418 Å (Cu Kα)).

```
data_SrH16O10
_chemical_formula_sum 'Sr1 H16 O10'
_cell_length_a 5.766
_cell_length_b 6.375
_cell_length_c 6.954
_cell_angle_alpha 89.63
_cell_angle_beta 87.83
_cell_angle_gamma 88.83
_symmetry_space_group_name_H-M 'P 1'
_symmetry_Int_Tables_number 1
loop_
_symmetry_equiv_pos_as_xyz
'x,y,z'
loop_
_atom_site_label
_atom_site_type_symbol
_atom_site_fract_x
_atom_site_fract_y
_atom_site_fract_z
Sr1 Sr 0.000 0.000 0.000
H1 H 0.249 0.424 0.132
H2 H 0.258 0.305 0.323
H3 H 0.270 0.678 0.318
H4 H 0.289 0.088 0.685
H5 H 0.306 0.346 0.647
H6 H 0.310 0.698 0.649
H7 H 0.446 0.770 0.177
H8 H 0.449 0.805 0.807
H9 H 0.536 0.233 0.826
H10 H 0.572 0.241 0.206
H11 H 0.703 0.698 0.365
H12 H 0.703 0.952 0.317
H13 H 0.711 0.338 0.370
H14 H 0.720 0.649 0.703
H15 H 0.736 0.592 0.921
H16 H 0.742 0.322 0.709
O1 O 0.253 0.279 0.183
O2 O 0.257 0.227 0.745
O3 O 0.277 0.736 0.184
O4 O 0.296 0.820 0.747
O5 O 0.383 0.517 0.514
O6 O 0.644 0.526 0.514
O7 O 0.709 0.246 0.831
O8 O 0.722 0.222 0.269
O9 O 0.725 0.811 0.258
O10 O 0.746 0.714 0.836
```

The 10 most intense peaks (2θ from 15° to 90°), low angle first:
| 2θ (°) | I/Imax | index |
| --- | --- | --- |
| 18.8 | 100.0 | 0 1 1 |
| 18.9 | 93.9 | 0 1 -1 |
| 19.6 | 83.8 | 1 0 1 |
| 20.4 | 58.7 | 1 0 -1 |
| 20.6 | 61.9 | 1 1 0 |
| 21.0 | 66.3 | 1 -1 0 |
| 30.5 | 50.4 | 1 0 -2 |
| 38.2 | 56.6 | 0 2 2 |
| 38.4 | 46.1 | 0 2 -2 |
| 41.5 | 52.1 | 2 0 -2 |

Entry 2:
For SrH4O6, a cell relaxed with PBE gives the simulated X-ray powder pattern in this record (λ = 1.5418 Å (Cu Kα)).

```
data_SrH4O6
_chemical_formula_sum 'Sr4 H16 O24'
_cell_length_a 8.241
_cell_length_b 6.013
_cell_length_c 8.532
_cell_angle_alpha 90.00
_cell_angle_beta 101.30
_cell_angle_gamma 90.00
_symmetry_space_group_name_H-M 'C 1 2/c 1'
_symmetry_Int_Tables_number 15
loop_
_symmetry_equiv_pos_as_xyz
'x,y,z'
'-x,-y,-z'
'-x,y,-z+1/2'
'x,-y,z+1/2'
'x+1/2,y+1/2,z'
'-x+1/2,-y+1/2,-z'
'-x+1/2,y+1/2,-z+1/2'
'x+1/2,-y+1/2,z+1/2'
loop_
_atom_site_label
_atom_site_type_symbol
_atom_site_fract_x
_atom_site_fract_y
_atom_site_fract_z
Sr1 Sr 0.000 0.167 0.250
H1 H 0.090 0.298 0.631
H2 H 0.205 0.482 0.947
O1 O 0.018 0.471 0.920
O2 O 0.170 0.014 0.542
O3 O 0.176 0.171 0.678
```

The 10 most intense peaks (2θ from 15° to 90°), low angle first:
| 2θ (°) | I/Imax | index |
| --- | --- | --- |
| 20.1 | 100.0 | 1 1 -1 |
| 21.2 | 27.1 | 0 0 2 |
| 22.0 | 50.0 | 2 0 0 |
| 29.9 | 51.3 | 1 1 2 |
| 33.7 | 29.3 | 2 0 2 |
| 35.2 | 52.4 | 1 1 -3 |
| 36.2 | 41.0 | 3 1 -1 |
| 36.8 | 41.8 | 0 2 2 |
| 37.6 | 49.5 | 2 2 -1 |
| 40.1 | 54.3 | 3 1 1 |

Entry 3:
For SrH16O10, a cell relaxed with PBE gives the simulated X-ray powder pattern in this record (λ = 1.5418 Å (Cu Kα)).

```
data_SrH16O10
_chemical_formula_sum 'Sr2 H32 O20'
_cell_length_a 6.323
_cell_length_b 6.456
_cell_length_c 11.405
_cell_angle_alpha 88.71
_cell_angle_beta 87.53
_cell_angle_gamma 87.80
_symmetry_space_group_name_H-M 'P 1'
_symmetry_Int_Tables_number 1
loop_
_symmetry_equiv_pos_as_xyz
'x,y,z'
loop_
_atom_site_label
_atom_site_type_symbol
_atom_site_fract_x
_atom_site_fract_y
_atom_site_fract_z
Sr1 Sr 0.000 0.000 0.000
Sr2 Sr 0.017 0.990 0.520
H1 H 0.011 0.343 0.380
H2 H 0.047 0.597 0.404
H3 H 0.051 0.451 0.636
H4 H 0.149 0.710 0.223
H5 H 0.159 0.314 0.792
H6 H 0.284 0.381 0.905
H7 H 0.286 0.619 0.117
H8 H 0.295 0.388 0.614
H9 H 0.304 0.592 0.411
H10 H 0.305 0.971 0.146
H11 H 0.328 0.130 0.291
H12 H 0.334 0.854 0.726
H13 H 0.402 0.717 0.911
H14 H 0.416 0.722 0.615
H15 H 0.424 0.193 0.411
H16 H 0.426 0.298 0.096
H17 H 0.470 0.951 0.891
H18 H 0.563 0.039 0.634
H19 H 0.581 0.966 0.149
H20 H 0.612 0.259 0.906
H21 H 0.623 0.279 0.619
H22 H 0.647 0.718 0.418
H23 H 0.660 0.727 0.133
H24 H 0.692 0.132 0.792
H25 H 0.722 0.873 0.315
H26 H 0.737 0.602 0.617
H27 H 0.739 0.604 0.913
H28 H 0.741 0.368 0.115
H29 H 0.749 0.387 0.410
H30 H 0.868 0.677 0.728
H31 H 0.881 0.293 0.218
H32 H 0.980 0.542 0.892
O1 O 0.146 0.325 0.880
O2 O 0.153 0.329 0.638
O3 O 0.172 0.676 0.385
O4 O 0.178 0.731 0.138
O5 O 0.291 0.153 0.379
O6 O 0.348 0.858 0.883
O7 O 0.349 0.862 0.639
O8 O 0.388 0.097 0.156
O9 O 0.483 0.449 0.079
O10 O 0.500 0.476 0.949
O11 O 0.527 0.501 0.581
O12 O 0.539 0.503 0.449
O13 O 0.679 0.120 0.881
O14 O 0.680 0.135 0.645
O15 O 0.716 0.863 0.146
O16 O 0.728 0.850 0.400
O17 O 0.870 0.287 0.378
O18 O 0.877 0.663 0.641
O19 O 0.877 0.664 0.886
O20 O 0.883 0.307 0.131
```

The 10 most intense peaks (2θ from 15° to 90°), low angle first:
| 2θ (°) | I/Imax | index |
| --- | --- | --- |
| 15.6 | 100.0 | 0 0 2 |
| 19.3 | 36.8 | 1 1 0 |
| 20.0 | 30.0 | 1 -1 0 |
| 20.6 | 36.5 | 1 0 2 |
| 24.3 | 44.8 | 1 1 2 |
| 25.3 | 35.8 | 1 -1 2 |
| 25.4 | 38.7 | 1 1 -2 |
| 25.7 | 43.7 | -1 1 2 |
| 37.9 | 29.8 | -1 1 4 |
| 43.7 | 29.3 | 2 0 -4 |

Entry 4:
For SrH16O10, a cell relaxed with PBE gives the simulated X-ray powder pattern in this record (λ = 1.5418 Å (Cu Kα)).

```
data_SrH16O10
_chemical_formula_sum 'Sr1 H16 O10'
_cell_length_a 6.298
_cell_length_b 6.360
_cell_length_c 7.014
_cell_angle_alpha 89.83
_cell_angle_beta 89.18
_cell_angle_gamma 89.21
_symmetry_space_group_name_H-M 'P 1'
_symmetry_Int_Tables_number 1
loop_
_symmetry_equiv_pos_as_xyz
'x,y,z'
loop_
_atom_site_label
_atom_site_type_symbol
_atom_site_fract_x
_atom_site_fract_y
_atom_site_fract_z
Sr1 Sr 0.000 0.000 0.000
H1 H 0.110 0.278 0.696
H2 H 0.113 0.287 0.282
H3 H 0.291 0.901 0.702
H4 H 0.299 0.899 0.280
H5 H 0.330 0.330 0.801
H6 H 0.336 0.330 0.174
H7 H 0.343 0.677 0.801
H8 H 0.347 0.676 0.179
H9 H 0.673 0.319 0.798
H10 H 0.678 0.334 0.190
H11 H 0.688 0.664 0.800
H12 H 0.689 0.659 0.185
H13 H 0.722 0.090 0.702
H14 H 0.733 0.145 0.334
H15 H 0.909 0.703 0.289
H16 H 0.912 0.723 0.699
O1 O 0.225 0.775 0.755
O2 O 0.231 0.775 0.228
O3 O 0.235 0.214 0.755
O4 O 0.238 0.216 0.225
O5 O 0.510 0.494 0.096
O6 O 0.511 0.495 0.882
O7 O 0.780 0.784 0.753
O8 O 0.785 0.772 0.234
O9 O 0.789 0.220 0.746
O10 O 0.798 0.243 0.245
```

The 10 most intense peaks (2θ from 15° to 90°), low angle first:
| 2θ (°) | I/Imax | index |
| --- | --- | --- |
| 18.8 | 57.5 | 0 1 -1 |
| 19.7 | 91.1 | 1 1 0 |
| 20.0 | 87.7 | 1 -1 0 |
| 23.6 | 100.0 | 1 1 -1 |
| 23.8 | 52.9 | -1 1 1 |
| 38.1 | 99.1 | 0 2 2 |
| 38.3 | 48.8 | 0 2 -2 |
| 38.7 | 46.5 | 2 0 -2 |
| 40.0 | 46.9 | 2 2 0 |
| 40.6 | 62.8 | 2 -2 0 |

Entry 5:
For SrH16O10, a cell relaxed with PBE gives the simulated X-ray powder pattern in this record (λ = 1.5418 Å (Cu Kα)).

```
data_SrH16O10
_chemical_formula_sum 'Sr2 H32 O20'
_cell_length_a 6.202
_cell_length_b 6.335
_cell_length_c 11.592
_cell_angle_alpha 88.90
_cell_angle_beta 85.53
_cell_angle_gamma 89.74
_symmetry_space_group_name_H-M 'P 1'
_symmetry_Int_Tables_number 1
loop_
_symmetry_equiv_pos_as_xyz
'x,y,z'
loop_
_atom_site_label
_atom_site_type_symbol
_atom_site_fract_x
_atom_site_fract_y
_atom_site_fract_z
Sr1 Sr 0.000 0.000 0.000
Sr2 Sr 0.052 0.938 0.500
H1 H 0.006 0.488 0.637
H2 H 0.034 0.622 0.824
H3 H 0.108 0.384 0.375
H4 H 0.224 0.210 0.720
H5 H 0.253 0.572 0.077
H6 H 0.264 0.634 0.877
H7 H 0.277 0.155 0.223
H8 H 0.295 0.773 0.702
H9 H 0.320 0.322 0.605
H10 H 0.349 0.326 0.396
H11 H 0.352 0.785 0.287
H12 H 0.376 0.295 0.888
H13 H 0.382 0.256 0.108
H14 H 0.436 0.656 0.598
H15 H 0.448 0.057 0.860
H16 H 0.460 0.663 0.390
H17 H 0.546 0.942 0.130
H18 H 0.568 0.703 0.093
H19 H 0.583 0.975 0.623
H20 H 0.605 0.742 0.886
H21 H 0.624 0.984 0.355
H22 H 0.657 0.212 0.600
H23 H 0.673 0.220 0.392
H24 H 0.709 0.396 0.905
H25 H 0.718 0.874 0.779
H26 H 0.771 0.547 0.603
H27 H 0.805 0.558 0.387
H28 H 0.822 0.195 0.227
H29 H 0.828 0.283 0.799
H30 H 0.915 0.672 0.130
H31 H 0.950 0.385 0.158
H32 H 0.990 0.642 0.286
O1 O 0.069 0.664 0.143
O2 O 0.147 0.722 0.841
O3 O 0.184 0.253 0.642
O4 O 0.209 0.260 0.374
O5 O 0.320 0.153 0.864
O6 O 0.330 0.118 0.143
O7 O 0.367 0.798 0.623
O8 O 0.396 0.806 0.365
O9 O 0.412 0.509 0.056
O10 O 0.459 0.518 0.929
O11 O 0.549 0.443 0.559
O12 O 0.566 0.448 0.430
O13 O 0.655 0.829 0.112
O14 O 0.675 0.880 0.862
O15 O 0.711 0.069 0.626
O16 O 0.745 0.086 0.361
O17 O 0.851 0.330 0.877
O18 O 0.860 0.258 0.149
O19 O 0.905 0.609 0.634
O20 O 0.956 0.617 0.372
```

The 10 most intense peaks (2θ from 15° to 90°), low angle first:
| 2θ (°) | I/Imax | index |
| --- | --- | --- |
| 15.3 | 100.0 | 0 0 2 |
| 20.1 | 69.0 | 1 1 0 |
| 24.5 | 52.9 | 1 1 2 |
| 24.8 | 49.3 | 1 -1 2 |
| 25.9 | 41.6 | -1 1 2 |
| 26.2 | 46.1 | 1 1 -2 |
| 31.7 | 33.9 | 2 0 2 |
| 32.2 | 36.1 | 1 2 1 |
| 32.5 | 49.7 | 0 2 -2 |
| 33.9 | 32.4 | 2 0 -2 |